[1]
The following is a calculated powder XRD pattern of Ba2RuO4. It was derived from a DFT-relaxed cell (PBE, the Materials Project), using a wavelength of 1.5418 Å.

Principal peaks in the range 10° ≤ 2θ ≤ 90°, by angle:
3.017 Å, 2θ 29.61, intensity 100, hkl 1 0 3; 2.871 Å, 2θ 31.15, intensity 61, hkl 1 1 0; 2.252 Å, 2θ 40.03, intensity 24, hkl 0 0 6; 2.030 Å, 2θ 44.63, intensity 31, hkl 2 0 0; 1.684 Å, 2θ 54.47, intensity 37, hkl 2 1 3; 1.508 Å, 2θ 61.48, intensity 20, hkl 2 0 6

Structure:
abc: 4.061 4.061 13.522
angles: 90.00 90.00 90.00
Space group I4/mmm (No. 139)
Inequivalent atoms, fractional coordinates:
Ba  0.000  0.000  0.144 (multiplicity 4)
Ru  0.000  0.000  0.500 (multiplicity 2)
O  0.000  0.000  0.346 (multiplicity 4)
O  0.000  0.500  0.000 (multiplicity 4)

---

[2]
The following is a calculated powder XRD pattern of Ba5Ru2O10. It was derived from a DFT-relaxed cell (PBE, the Materials Project), using a wavelength of 1.5418 Å.

Principal peaks in the range 10° ≤ 2θ ≤ 90°, by angle:
3.426 Å, 2θ 26.01, intensity 47, hkl 1 0 4; 3.038 Å, 2θ 29.40, intensity 100, hkl 1 1 0; 2.977 Å, 2θ 30.01, intensity 32, hkl 1 0 5; 2.273 Å, 2θ 39.65, intensity 32, hkl 2 0 4; 2.138 Å, 2θ 42.27, intensity 20, hkl 1 1 6; 1.754 Å, 2θ 52.15, intensity 20, hkl 3 0 0

Structure:
abc: 6.0757 6.0757 18.0562
angles: 90.00 90.00 120.00
Space group P6_3/mmc (No. 194)
Inequivalent atoms, fractional coordinates:
Ba  0.0000  0.0000  0.1366 (multiplicity 4)
Ba  0.3333  0.6667  0.0156 (multiplicity 4)
Ba  0.3333  0.6667  0.2500 (multiplicity 2)
Ru  0.3333  0.6667  0.6727 (multiplicity 4)
O  0.0000  0.0000  0.0000 (multiplicity 2)
O  0.0239  0.5120  0.6161 (multiplicity 12)
O  0.1869  0.3738  0.7500 (multiplicity 6)

---

[3]
The following is a calculated powder XRD pattern of Ba4SmRu3O12. It was derived from a DFT-relaxed cell (PBE, the Materials Project), using a wavelength of 1.5418 Å.

Principal peaks in the range 10° ≤ 2θ ≤ 90°, by angle:
3.321 Å, 2θ 26.84, intensity 20, hkl 2 0 -7; 3.268 Å, 2θ 27.29, intensity 40, hkl 1 1 7; 2.989 Å, 2θ 29.89, intensity 100, hkl 0 2 0; 2.221 Å, 2θ 40.62, intensity 23, hkl 2 2 -7; 1.725 Å, 2θ 53.09, intensity 14, hkl 3 3 0; 1.494 Å, 2θ 62.11, intensity 17, hkl 0 4 0

Structure:
abc: 10.360 5.975 29.767
angles: 90.00 91.24 90.00
Space group C2/m (No. 12)
Inequivalent atoms, fractional coordinates:
Ba  0.001  0.000  0.369 (multiplicity 4)
Ba  0.006  0.000  0.783 (multiplicity 4)
Ba  0.158  0.500  0.117 (multiplicity 4)
Ba  0.168  0.500  0.703 (multiplicity 4)
Ba  0.168  0.500  0.963 (multiplicity 4)
Ba  0.171  0.500  0.550 (multiplicity 4)
Sm  0.000  0.000  0.500 (multiplicity 2)
Sm  0.178  0.500  0.833 (multiplicity 4)
Ru  0.000  0.000  0.000 (multiplicity 2)
Ru  0.013  0.000  0.914 (multiplicity 4)
Ru  0.159  0.500  0.419 (multiplicity 4)
Ru  0.161  0.500  0.248 (multiplicity 4)
Ru  0.171  0.500  0.334 (multiplicity 4)
O  0.005  0.500  0.785 (multiplicity 4)
O  0.012  0.500  0.372 (multiplicity 4)
O  0.070  0.232  0.044 (multiplicity 8)
O  0.070  0.264  0.451 (multiplicity 8)
O  0.094  0.262  0.292 (multiplicity 8)
O  0.096  0.236  0.880 (multiplicity 8)
O  0.136  0.000  0.125 (multiplicity 4)
O  0.161  0.000  0.962 (multiplicity 4)
O  0.177  0.000  0.709 (multiplicity 4)
O  0.198  0.000  0.537 (multiplicity 4)
O  0.231  0.268  0.211 (multiplicity 8)
O  0.247  0.271  0.377 (multiplicity 8)